Entry 1:
Simulated XRD peak list of Zr2N2O for λ = 1.5418 Å (Cu Kα), from a GGA-PBE-relaxed structure.
No peak broadening, texture or thermal motion is included.

Cell: 8.866 8.871 8.877 Å, 109.59 109.28 109.40°
Fractional coordinates of all 40 atoms:
Zr (0.000, 0.000, 0.000)
Zr (0.009, 0.499, 0.504)
Zr (0.046, 0.229, 0.766)
Zr (0.217, 0.682, 0.971)
Zr (0.245, 0.459, 0.215)
Zr (0.257, 0.980, 0.724)
Zr (0.304, 0.267, 0.491)
Zr (0.471, 0.719, 0.685)
Zr (0.500, 0.435, 0.940)
Zr (0.506, 0.942, 0.440)
Zr (0.543, 0.210, 0.252)
Zr (0.716, 0.175, 0.971)
Zr (0.746, 0.966, 0.213)
Zr (0.759, 0.472, 0.727)
Zr (0.800, 0.755, 0.475)
Zr (0.963, 0.722, 0.192)
N (0.013, 0.957, 0.756)
N (0.030, 0.727, 0.450)
N (0.216, 0.463, 0.453)
N (0.241, 0.195, 0.675)
N (0.301, 0.482, 0.000)
N (0.481, 0.209, 0.997)
N (0.483, 0.932, 0.175)
N (0.493, 0.976, 0.688)
N (0.520, 0.198, 0.495)
N (0.534, 0.517, 0.739)
N (0.717, 0.702, 0.193)
N (0.724, 0.923, 0.954)
N (0.799, 0.241, 0.261)
N (0.981, 0.422, 0.707)
N (0.985, 0.248, 0.992)
N (0.997, 0.741, 0.958)
O (0.032, 0.006, 0.271)
O (0.226, 0.709, 0.240)
O (0.271, 0.742, 0.773)
O (0.288, 0.231, 0.213)
O (0.530, 0.694, 0.459)
O (0.741, 0.508, 0.488)
O (0.770, 0.435, 0.963)
O (0.783, 0.010, 0.497)

Main lines, in order of falling intensity (2θ = 10–80°):
| d (Å) | I/Imax |
| --- | --- |
| 2.959 | 100 |
| 1.813 | 25 |
| 2.565 | 18 |
| 1.545 | 15 |
| 4.185 | 13 |
| 1.809 | 13 |
| 2.558 | 10 |
| 1.543 | 7 |
| 2.012 | 5 |
| 2.008 | 4 |

=====

Entry 2:
Simulated XRD peak list of Ba2CePrO6 for λ = 1.5418 Å (Cu Kα), from a GGA-PBE-relaxed structure.
No peak broadening, texture or thermal motion is included.

Cell: 6.402 6.402 6.402 Å, 60.00 60.00 60.00°
Fractional coordinates of all 10 atoms:
Ba (0.250, 0.250, 0.250)
Ba (0.750, 0.750, 0.750)
Ce (0.000, 0.000, 0.000)
Pr (0.500, 0.500, 0.500)
O (0.243, 0.243, 0.757)
O (0.243, 0.757, 0.243)
O (0.243, 0.757, 0.757)
O (0.757, 0.243, 0.243)
O (0.757, 0.243, 0.757)
O (0.757, 0.757, 0.243)

Main lines, in order of falling intensity (2θ = 10–80°):
| d (Å) | I/Imax |
| --- | --- |
| 3.201 | 100 |
| 1.848 | 42 |
| 2.263 | 30 |
| 1.210 | 22 |
| 1.600 | 19 |
| 1.431 | 19 |
| 1.307 | 6 |
| 4.527 | 1 |
| 2.613 | 1 |
| 2.024 | 1 |

=====

Entry 3:
Simulated XRD peak list of Li2MnBr4 for λ = 1.5418 Å (Cu Kα), from a GGA-PBE-relaxed structure.
No peak broadening, texture or thermal motion is included.

Cell: 6.730 6.730 6.730 Å, 131.44 71.15 131.39°
Fractional coordinates of all 7 atoms:
Li (0.248, 0.000, 0.248)
Li (0.752, 0.000, 0.752)
Mn (0.487, 0.487, 0.000)
Br (0.261, 0.499, 0.762)
Br (0.496, 0.996, 0.500)
Br (0.737, 0.499, 0.238)
Br (0.997, 0.997, 0.000)

Main lines, in order of falling intensity (2θ = 10–80°):
| d (Å) | I/Imax |
| --- | --- |
| 3.184 | 100 |
| 2.768 | 79 |
| 1.946 | 53 |
| 2.737 | 37 |
| 1.668 | 29 |
| 1.958 | 28 |
| 1.592 | 27 |
| 4.941 | 22 |
| 1.654 | 13 |
| 1.238 | 12 |